# 1
Diffraction record for K2SnH2Cl4O. The X-ray powder pattern is calculated, not measured: it uses DFT lattice parameters and positions (PBE) and λ = 1.5418 Å (Cu Kα).

Main lines, low angle first (2θ = 10–80°):
| 2θ/deg | d [Å] | I_rel |
| --- | --- | --- |
| 12.83 | 6.899 | 100 |
| 23.10 | 3.850 | 65 |
| 24.38 | 3.651 | 53 |
| 28.72 | 3.108 | 63 |
| 29.66 | 3.012 | 61 |
| 32.34 | 2.768 | 46 |
| 38.82 | 2.320 | 28 |
| 43.34 | 2.088 | 28 |
| 43.94 | 2.061 | 36 |
| 45.83 | 1.980 | 24 |

Structure:
a b c (Å): 12.1743 9.2784 8.3741
angles (deg): 90.00 90.00 90.00
Fractional coordinates of all 40 atoms:
1 K 0.1843 0.0176 0.1301
2 K 0.1843 0.4824 0.1301
3 K 0.3157 0.5176 0.6301
4 K 0.3157 0.9824 0.6301
5 K 0.6843 0.0176 0.3699
6 K 0.6843 0.4824 0.3699
7 K 0.8157 0.5176 0.8699
8 K 0.8157 0.9824 0.8699
9 Sn 0.0100 0.2500 0.4917
10 Sn 0.4900 0.7500 0.9917
11 Sn 0.5100 0.2500 0.0083
12 Sn 0.9900 0.7500 0.5083
13 H 0.0401 0.7500 0.9226
14 H 0.0446 0.2500 0.9375
15 H 0.4554 0.7500 0.4375
16 H 0.4599 0.2500 0.4226
17 H 0.5401 0.7500 0.5774
18 H 0.5446 0.2500 0.5625
19 H 0.9554 0.7500 0.0625
20 H 0.9599 0.2500 0.0774
21 Cl 0.0572 0.0533 0.7057
22 Cl 0.0572 0.4467 0.7057
23 Cl 0.1928 0.7500 0.3940
24 Cl 0.2350 0.7500 0.8990
25 Cl 0.2650 0.2500 0.3990
26 Cl 0.3072 0.2500 0.8940
27 Cl 0.4428 0.5533 0.2057
28 Cl 0.4428 0.9467 0.2057
29 Cl 0.5572 0.0533 0.7943
30 Cl 0.5572 0.4467 0.7943
31 Cl 0.6928 0.7500 0.1060
32 Cl 0.7350 0.7500 0.6010
33 Cl 0.7650 0.2500 0.1010
34 Cl 0.8072 0.2500 0.6060
35 Cl 0.9428 0.5533 0.2943
36 Cl 0.9428 0.9467 0.2943
37 O 0.0394 0.2500 0.0540
38 O 0.4606 0.7500 0.5540
39 O 0.5394 0.2500 0.4460
40 O 0.9606 0.7500 0.9460

# 2
Diffraction record for K2HRuCl5. The X-ray powder pattern is calculated, not measured: it uses DFT lattice parameters and positions (PBE) and λ = 1.5418 Å (Cu Kα).

Main lines, low angle first (2θ = 10–80°):
| 2θ/deg | d [Å] | I_rel |
| --- | --- | --- |
| 15.34 | 5.776 | 100 |
| 16.01 | 5.536 | 99 |
| 17.64 | 5.028 | 34 |
| 26.08 | 3.417 | 28 |
| 28.63 | 3.118 | 36 |
| 29.91 | 2.987 | 37 |
| 31.15 | 2.872 | 56 |
| 31.64 | 2.828 | 49 |
| 38.67 | 2.328 | 46 |
| 50.47 | 1.808 | 30 |

Structure:
a b c (Å): 13.7667 9.3136 7.3626
angles (deg): 90.00 90.00 90.00
Fractional coordinates of all 36 atoms:
1 K 0.1485 0.9996 0.1485
2 K 0.1485 0.5004 0.1485
3 K 0.3515 0.0004 0.6485
4 K 0.3515 0.4996 0.6485
5 K 0.6485 0.9996 0.3515
6 K 0.6485 0.5004 0.3515
7 K 0.8515 0.0004 0.8515
8 K 0.8515 0.4996 0.8515
9 H 0.0094 0.2500 0.5559
10 H 0.4906 0.7500 0.0559
11 H 0.5094 0.2500 0.9441
12 H 0.9906 0.7500 0.4441
13 Ru 0.1027 0.2500 0.6850
14 Ru 0.3973 0.7500 0.1850
15 Ru 0.6027 0.2500 0.8150
16 Ru 0.8973 0.7500 0.3150
17 Cl 0.0010 0.7500 0.0544
18 Cl 0.0969 0.0041 0.6769
19 Cl 0.0969 0.4959 0.6769
20 Cl 0.2034 0.2500 0.4215
21 Cl 0.2471 0.7500 0.3957
22 Cl 0.2529 0.2500 0.8957
23 Cl 0.2966 0.7500 0.9215
24 Cl 0.4031 0.5041 0.1769
25 Cl 0.4031 0.9959 0.1769
26 Cl 0.4990 0.2500 0.5544
27 Cl 0.5010 0.7500 0.4456
28 Cl 0.5969 0.0041 0.8231
29 Cl 0.5969 0.4959 0.8231
30 Cl 0.7034 0.2500 0.0785
31 Cl 0.7471 0.7500 0.1043
32 Cl 0.7529 0.2500 0.6043
33 Cl 0.7966 0.7500 0.5785
34 Cl 0.9031 0.5041 0.3231
35 Cl 0.9031 0.9959 0.3231
36 Cl 0.9990 0.2500 0.9456

# 3
Diffraction record for Li4H3ClO3. The X-ray powder pattern is calculated, not measured: it uses DFT lattice parameters and positions (PBE) and λ = 1.5418 Å (Cu Kα).

Main lines, low angle first (2θ = 10–80°):
| 2θ/deg | d [Å] | I_rel |
| --- | --- | --- |
| 19.98 | 4.444 | 51 |
| 22.23 | 3.998 | 20 |
| 23.76 | 3.746 | 24 |
| 27.52 | 3.242 | 32 |
| 28.24 | 3.160 | 40 |
| 30.67 | 2.915 | 27 |
| 31.50 | 2.840 | 100 |
| 32.60 | 2.746 | 85 |
| 42.28 | 2.138 | 20 |
| 49.55 | 1.840 | 22 |

Structure:
a b c (Å): 5.5116 7.5525 6.3384
angles (deg): 90.00 94.38 90.00
Fractional coordinates of all 22 atoms:
1 Li 0.0719 0.2500 0.4178
2 Li 0.3533 0.5155 0.6431
3 Li 0.3533 0.9845 0.6431
4 Li 0.3905 0.2500 0.1683
5 Li 0.6095 0.7500 0.8317
6 Li 0.6467 0.0155 0.3569
7 Li 0.6467 0.4845 0.3569
8 Li 0.9281 0.7500 0.5822
9 H 0.1786 0.7500 0.8810
10 H 0.1917 0.5358 0.2716
11 H 0.1917 0.9642 0.2716
12 H 0.8083 0.0358 0.7284
13 H 0.8083 0.4642 0.7284
14 H 0.8214 0.2500 0.1190
15 Cl 0.1782 0.2500 0.8176
16 Cl 0.8218 0.7500 0.1824
17 O 0.2517 0.7500 0.7459
18 O 0.2894 0.0549 0.3470
19 O 0.2894 0.4451 0.3470
20 O 0.7106 0.5549 0.6530
21 O 0.7106 0.9451 0.6530
22 O 0.7483 0.2500 0.2541

# 4
Diffraction record for LiH2ClO. The X-ray powder pattern is calculated, not measured: it uses DFT lattice parameters and positions (PBE) and λ = 1.5418 Å (Cu Kα).

Main lines, low angle first (2θ = 10–80°):
| 2θ/deg | d [Å] | I_rel |
| --- | --- | --- |
| 23.08 | 3.854 | 8 |
| 32.61 | 2.746 | 100 |
| 32.95 | 2.718 | 58 |
| 34.72 | 2.584 | 7 |
| 40.36 | 2.235 | 9 |
| 47.16 | 1.927 | 10 |
| 47.41 | 1.917 | 10 |
| 57.97 | 1.591 | 13 |
| 58.54 | 1.577 | 14 |
| 58.70 | 1.573 | 11 |

Structure:
a b c (Å): 5.4866 5.4866 7.7083
angles (deg): 90.00 90.00 91.31
Fractional coordinates of all 20 atoms:
1 Li 0.0000 0.0000 0.0000
2 Li 0.0000 0.0000 0.5000
3 Li 0.3203 0.6797 0.7500
4 Li 0.6797 0.3203 0.2500
5 H 0.2108 0.5878 0.0697
6 H 0.2108 0.5878 0.4303
7 H 0.4122 0.7892 0.0697
8 H 0.4122 0.7892 0.4303
9 H 0.5878 0.2108 0.5697
10 H 0.5878 0.2108 0.9303
11 H 0.7892 0.4122 0.5697
12 H 0.7892 0.4122 0.9303
13 Cl 0.2141 0.2734 0.2500
14 Cl 0.2734 0.2141 0.7500
15 Cl 0.7266 0.7859 0.2500
16 Cl 0.7859 0.7266 0.7500
17 O 0.2610 0.7390 0.0063
18 O 0.2610 0.7390 0.4937
19 O 0.7390 0.2610 0.5063
20 O 0.7390 0.2610 0.9937

# 5
Diffraction record for LiZnH3Cl3. The X-ray powder pattern is calculated, not measured: it uses DFT lattice parameters and positions (PBE) and λ = 1.5418 Å (Cu Kα).

Main lines, low angle first (2θ = 10–80°):
| 2θ/deg | d [Å] | I_rel |
| --- | --- | --- |
| 12.14 | 7.288 | 15 |
| 13.08 | 6.769 | 100 |
| 18.53 | 4.789 | 52 |
| 24.43 | 3.644 | 16 |
| 26.33 | 3.385 | 18 |
| 28.09 | 3.177 | 21 |
| 31.10 | 2.876 | 13 |
| 32.94 | 2.720 | 14 |
| 44.18 | 2.050 | 14 |
| 46.14 | 1.967 | 10 |

Structure:
a b c (Å): 6.3543 7.6438 14.5750
angles (deg): 90.00 90.00 90.00
Fractional coordinates of all 32 atoms:
1 Li 0.1043 0.2500 0.1257
2 Li 0.3957 0.7500 0.6257
3 Li 0.6043 0.2500 0.3743
4 Li 0.8957 0.7500 0.8743
5 Zn 0.1869 0.7500 0.1739
6 Zn 0.3131 0.2500 0.6739
7 Zn 0.6869 0.7500 0.3261
8 Zn 0.8131 0.2500 0.8261
9 H 0.1958 0.6244 0.8375
10 H 0.1958 0.8756 0.8375
11 H 0.2017 0.7500 0.8371
12 H 0.2983 0.2500 0.3371
13 H 0.3042 0.1244 0.3375
14 H 0.3042 0.3756 0.3375
15 H 0.6958 0.6244 0.6625
16 H 0.6958 0.8756 0.6625
17 H 0.7017 0.7500 0.6629
18 H 0.7983 0.2500 0.1629
19 H 0.8042 0.1244 0.1625
20 H 0.8042 0.3756 0.1625
21 Cl 0.1816 0.2500 0.8230
22 Cl 0.2112 0.0010 0.6021
23 Cl 0.2112 0.4990 0.6021
24 Cl 0.2888 0.5010 0.1021
25 Cl 0.2888 0.9990 0.1021
26 Cl 0.3184 0.7500 0.3230
27 Cl 0.6816 0.2500 0.6770
28 Cl 0.7112 0.0010 0.8979
29 Cl 0.7112 0.4990 0.8979
30 Cl 0.7888 0.5010 0.3979
31 Cl 0.7888 0.9990 0.3979
32 Cl 0.8184 0.7500 0.1770

# 6
Diffraction record for Li2ZnH2Cl4. The X-ray powder pattern is calculated, not measured: it uses DFT lattice parameters and positions (PBE) and λ = 1.5418 Å (Cu Kα).

Main lines, low angle first (2θ = 10–80°):
| 2θ/deg | d [Å] | I_rel |
| --- | --- | --- |
| 16.59 | 5.345 | 100 |
| 17.30 | 5.125 | 29 |
| 17.75 | 4.996 | 60 |
| 22.77 | 3.906 | 35 |
| 23.30 | 3.817 | 38 |
| 23.74 | 3.748 | 41 |
| 29.57 | 3.021 | 43 |
| 32.52 | 2.753 | 48 |
| 33.75 | 2.656 | 31 |
| 37.14 | 2.421 | 24 |

Structure:
a b c (Å): 6.2640 10.2504 11.4422
angles (deg): 90.00 90.00 90.00
Fractional coordinates of all 36 atoms:
1 Li 0.2154 0.1263 0.2779
2 Li 0.2341 0.2321 0.7908
3 Li 0.2659 0.7679 0.2908
4 Li 0.2846 0.8737 0.7779
5 Li 0.7154 0.3737 0.7221
6 Li 0.7341 0.2679 0.2092
7 Li 0.7659 0.7321 0.7092
8 Li 0.7846 0.6263 0.2221
9 Zn 0.2407 0.5326 0.5526
10 Zn 0.2593 0.4674 0.0526
11 Zn 0.7407 0.9674 0.4474
12 Zn 0.7593 0.0326 0.9474
13 H 0.0213 0.2978 0.3479
14 H 0.1331 0.0318 0.6621
15 H 0.3669 0.9682 0.1621
16 H 0.4787 0.7022 0.8479
17 H 0.5213 0.2022 0.6521
18 H 0.6331 0.4682 0.3379
19 H 0.8669 0.5318 0.8379
20 H 0.9787 0.7978 0.1521
21 Cl 0.0941 0.3360 0.6012
22 Cl 0.1050 0.9612 0.4109
23 Cl 0.1218 0.5725 0.3644
24 Cl 0.1257 0.7099 0.6592
25 Cl 0.3743 0.2901 0.1592
26 Cl 0.3782 0.4275 0.8644
27 Cl 0.3950 0.0388 0.9109
28 Cl 0.4059 0.6640 0.1012
29 Cl 0.5941 0.1640 0.3988
30 Cl 0.6050 0.5388 0.5891
31 Cl 0.6218 0.9275 0.6356
32 Cl 0.6257 0.7901 0.3408
33 Cl 0.8743 0.2099 0.8408
34 Cl 0.8782 0.0725 0.1356
35 Cl 0.8950 0.4612 0.0891
36 Cl 0.9059 0.8360 0.8988

# 7
Diffraction record for Li6Zr6HCl18. The X-ray powder pattern is calculated, not measured: it uses DFT lattice parameters and positions (PBE) and λ = 1.5418 Å (Cu Kα).

Main lines, low angle first (2θ = 10–80°):
| 2θ/deg | d [Å] | I_rel |
| --- | --- | --- |
| 10.89 | 8.123 | 91 |
| 11.73 | 7.547 | 54 |
| 16.03 | 5.529 | 12 |
| 19.42 | 4.571 | 12 |
| 31.98 | 2.798 | 14 |
| 34.26 | 2.617 | 100 |
| 39.43 | 2.285 | 13 |
| 44.08 | 2.054 | 11 |
| 48.87 | 1.863 | 26 |
| 49.60 | 1.838 | 26 |

Structure:
a b c (Å): 9.8416 9.8416 9.8416
angles (deg): 111.25 111.25 111.25
Fractional coordinates of all 31 atoms:
1 Li 0.2174 0.6660 0.5939
2 Li 0.3340 0.4061 0.7826
3 Li 0.4061 0.7826 0.3340
4 Li 0.5939 0.2174 0.6660
5 Li 0.6660 0.5939 0.2174
6 Li 0.7826 0.3340 0.4061
7 Zr 0.0223 0.1597 0.2489
8 Zr 0.1597 0.2489 0.0223
9 Zr 0.2489 0.0223 0.1597
10 Zr 0.7511 0.9777 0.8403
11 Zr 0.8403 0.7511 0.9777
12 Zr 0.9777 0.8403 0.7511
13 H 0.0000 0.0000 0.0000
14 Cl 0.0667 0.3692 0.5569
15 Cl 0.1026 0.7448 0.1571
16 Cl 0.1571 0.1026 0.7448
17 Cl 0.2081 0.4665 0.3091
18 Cl 0.2552 0.8429 0.8974
19 Cl 0.3091 0.2081 0.4665
20 Cl 0.3692 0.5569 0.0667
21 Cl 0.4431 0.9333 0.6308
22 Cl 0.4665 0.3091 0.2081
23 Cl 0.5335 0.6909 0.7919
24 Cl 0.5569 0.0667 0.3692
25 Cl 0.6308 0.4431 0.9333
26 Cl 0.6909 0.7919 0.5335
27 Cl 0.7448 0.1571 0.1026
28 Cl 0.7919 0.5335 0.6909
29 Cl 0.8429 0.8974 0.2552
30 Cl 0.8974 0.2552 0.8429
31 Cl 0.9333 0.6308 0.4431

# 8
Diffraction record for LuHCl. The X-ray powder pattern is calculated, not measured: it uses DFT lattice parameters and positions (PBE) and λ = 1.5418 Å (Cu Kα).

Main lines, low angle first (2θ = 10–80°):
| 2θ/deg | d [Å] | I_rel |
| --- | --- | --- |
| 28.39 | 3.144 | 29 |
| 29.00 | 3.079 | 14 |
| 31.07 | 2.878 | 100 |
| 32.58 | 2.748 | 23 |
| 38.54 | 2.336 | 48 |
| 39.02 | 2.309 | 12 |
| 49.91 | 1.827 | 28 |
| 58.77 | 1.571 | 12 |
| 59.97 | 1.543 | 15 |
| 65.11 | 1.433 | 16 |

Structure:
a b c (Å): 9.4724 9.4724 9.4724
angles (deg): 22.24 22.24 22.24
Fractional coordinates of all 6 atoms:
1 Lu 0.1195 0.1195 0.1195
2 Lu 0.8805 0.8805 0.8805
3 H 0.1963 0.1963 0.1963
4 H 0.8037 0.8037 0.8037
5 Cl 0.3923 0.3923 0.3923
6 Cl 0.6077 0.6077 0.6077

# 9
Diffraction record for LuH2ClO2. The X-ray powder pattern is calculated, not measured: it uses DFT lattice parameters and positions (PBE) and λ = 1.5418 Å (Cu Kα).

Main lines, low angle first (2θ = 10–80°):
| 2θ/deg | d [Å] | I_rel |
| --- | --- | --- |
| 13.83 | 6.403 | 100 |
| 17.55 | 5.055 | 25 |
| 22.74 | 3.910 | 37 |
| 29.52 | 3.026 | 48 |
| 29.84 | 2.994 | 32 |
| 31.01 | 2.884 | 45 |
| 34.32 | 2.613 | 36 |
| 38.03 | 2.366 | 41 |
| 44.15 | 2.051 | 21 |
| 51.45 | 1.776 | 20 |

Structure:
a b c (Å): 6.1883 3.5115 6.6162
angles (deg): 90.00 104.58 90.00
Fractional coordinates of all 12 atoms:
1 Lu 0.2212 0.2500 0.3950
2 Lu 0.7788 0.7500 0.6050
3 H 0.1372 0.2500 0.8016
4 H 0.3718 0.7500 0.7329
5 H 0.6282 0.2500 0.2671
6 H 0.8628 0.7500 0.1984
7 Cl 0.2727 0.7500 0.0807
8 Cl 0.7273 0.2500 0.9193
9 O 0.0435 0.2500 0.6576
10 O 0.3936 0.7500 0.5912
11 O 0.6064 0.2500 0.4088
12 O 0.9565 0.7500 0.3424